Diffraction record for ReTcN3. The powder XRD pattern is calculated, not measured: it uses the GGA-PBE geometry in OQMD and Cu Kα (λ = 1.5418 Å).

Cell: 5.110 5.110 6.226 Å, 90.00 90.00 120.00°
Positions (direct):
Re (0.000, 0.000, 0.208)
Re (0.000, 0.000, 0.792)
Tc (0.333, 0.667, 0.500)
Tc (0.667, 0.333, 0.500)
N (0.000, 0.333, 0.689)
N (0.000, 0.667, 0.311)
N (0.333, 0.000, 0.689)
N (0.333, 0.333, 0.311)
N (0.667, 0.000, 0.311)
N (0.667, 0.667, 0.689)

Main lines, in order of rising 2θ (10 to 90 degrees two-theta):
(hkl), Position (°2θ), intensity
0 0 1, 14.2, 19
1 0 0, 20.1, 81
1 0 1, 24.7, 55
1 1 0, 35.1, 80
1 0 2, 35.2, 100
2 0 2, 50.6, 36
1 1 3, 57.2, 34
3 0 0, 63.1, 58